No. 1
The following is a calculated powder XRD pattern of LiTlF5. It was derived from a GGA-PBE-relaxed structure, using λ = 1.5418 Å (Cu Kα).

Atomic structure:
Lattice parameters (Å, degrees): 4.297 11.991 7.103 90.00 97.17 90.00
Space group P2_1/c (No. 14)
Unique sites:
Li  0.093  0.181  0.386 (multiplicity 4)
Tl  0.497  0.537  0.746 (multiplicity 4)
F  0.003  0.528  0.222 (multiplicity 4)
F  0.165  0.202  0.679 (multiplicity 4)
F  0.192  0.693  0.669 (multiplicity 4)
F  0.416  0.103  0.036 (multiplicity 4)
F  0.479  0.610  0.037 (multiplicity 4)

Main lines, low angle first (10° ≤ 2θ ≤ 90°):
(0 2 0), 2θ = 14.78°, I 1000; (0 2 1), 2θ = 19.44°, I 330; (1 0 0), 2θ = 20.84°, I 601; (0 0 2), 2θ = 25.28°, I 419; (1 2 0), 2θ = 25.64°, I 656; (0 2 2), 2θ = 29.40°, I 391; (1 2 2), 2θ = 38.18°, I 222; (1 4 1), 2θ = 39.78°, I 258; (2 2 0), 2θ = 45.15°, I 204; (2 0 2), 2θ = 52.94°, I 225


No. 2
The following is a calculated powder XRD pattern of TbSb12Os4. It was derived from a GGA-PBE-relaxed structure, using λ = 1.5418 Å (Cu Kα).

Atomic structure:
Lattice parameters (Å, degrees): 9.409 9.409 9.409 90.00 90.00 90.00
Space group Im-3 (No. 204)
Unique sites:
Tb  0.000  0.000  0.000 (multiplicity 2)
Sb  0.000  0.338  0.156 (multiplicity 24)
Os  0.250  0.250  0.250 (multiplicity 8)

Main lines, low angle first (10° ≤ 2θ ≤ 90°):
(2 0 0), 2θ = 18.86°, I 273; (2 2 0), 2θ = 26.80°, I 311; (3 0 1), 2θ = 30.03°, I 1000; (3 1 2), 2θ = 35.70°, I 487; (4 2 0), 2θ = 42.99°, I 499; (4 2 2), 2θ = 47.33°, I 624; (4 3 1), 2θ = 49.39°, I 282; (6 0 2), 2θ = 62.42°, I 166; (6 1 3), 2θ = 67.52°, I 176; (6 6 0), 2θ = 88.09°, I 254


No. 3
The following is a calculated powder XRD pattern of SrIrRu2. It was derived from a GGA-PBE-relaxed structure, using λ = 1.5418 Å (Cu Kα).

Atomic structure:
Lattice parameters (Å, degrees): 2.849 4.334 6.243 90.00 103.12 90.00
Space group Pm (No. 6)
Unique sites:
Sr  0.000  0.000  0.000 (multiplicity 1)
Ir  0.641  0.500  0.283 (multiplicity 1)
Ru  0.321  0.500  0.644 (multiplicity 1)
Ru  0.751  0.000  0.506 (multiplicity 1)

Main lines, low angle first (10° ≤ 2θ ≤ 90°):
(0 0 1), 2θ = 14.57°, I 657; (0 1 1), 2θ = 25.23°, I 291; (1 0 -1), 2θ = 32.27°, I 248; (0 1 2), 2θ = 36.09°, I 926; (1 0 1), 2θ = 38.55°, I 1000; (1 0 -2), 2θ = 38.65°, I 312; (0 2 0), 2θ = 41.67°, I 478; (1 1 1), 2θ = 44.11°, I 553; (1 1 2), 2θ = 53.89°, I 249; (1 2 1), 2θ = 58.12°, I 380


No. 4
The following is a calculated powder XRD pattern of Mn3Nb2. It was derived from a GGA-PBE-relaxed structure, using λ = 1.5418 Å (Cu Kα).

Atomic structure:
Lattice parameters (Å, degrees): 5.084 8.792 6.440 90.00 90.00 90.00
Space group Cmce (No. 64)
Unique sites:
Mn  0.000  0.000  0.000 (multiplicity 4)
Mn  0.250  0.096  0.250 (multiplicity 8)
Nb  0.000  0.165  0.602 (multiplicity 8)

Main lines, low angle first (10° ≤ 2θ ≤ 90°):
(1 1 2), 2θ = 34.51°, I 753; (1 3 1), 2θ = 38.10°, I 1000; (2 2 1), 2θ = 43.47°, I 873; (2 0 2), 2θ = 45.46°, I 332; (0 2 3), 2θ = 47.11°, I 511; (1 5 2), 2θ = 62.90°, I 274; (3 3 1), 2θ = 65.23°, I 196; (2 4 3), 2θ = 71.81°, I 214; (4 0 0), 2θ = 74.75°, I 260; (2 4 4), 2θ = 83.60°, I 139


No. 5
The following is a calculated powder XRD pattern of ZnHgPbCl4. It was derived from a GGA-PBE-relaxed structure, using λ = 1.5418 Å (Cu Kα).

Atomic structure:
Lattice parameters (Å, degrees): 13.265 9.066 8.473 90.00 108.28 90.00
Space group C2/m (No. 12)
Unique sites:
Zn  0.152  0.000  0.296 (multiplicity 4)
Hg  0.036  0.500  0.802 (multiplicity 4)
Pb  0.232  0.000  0.885 (multiplicity 4)
Cl  0.021  0.000  0.706 (multiplicity 4)
Cl  0.176  0.192  0.127 (multiplicity 8)
Cl  0.230  0.500  0.449 (multiplicity 4)

Main lines, low angle first (10° ≤ 2θ ≤ 90°):
(0 0 1), 2θ = 11.00°, I 588; (0 2 0), 2θ = 19.58°, I 1000; (2 0 -2), 2θ = 22.15°, I 362; (3 1 0), 2θ = 23.35°, I 394; (3 1 -2), 2θ = 27.28°, I 572; (3 1 1), 2θ = 28.64°, I 475; (2 2 -2), 2θ = 29.74°, I 559; (1 1 3), 2θ = 37.75°, I 322; (1 3 2), 2θ = 39.26°, I 273; (3 3 -2), 2θ = 39.37°, I 239


No. 6
The following is a calculated powder XRD pattern of HoThBi2. It was derived from a GGA-PBE-relaxed structure, using λ = 1.5418 Å (Cu Kα).

Atomic structure:
Lattice parameters (Å, degrees): 6.427 6.427 12.790 90.00 90.00 90.00
Space group I4_1/amd (No. 141, origin choice 2)
Unique sites:
Ho  0.000  0.250  0.375 (multiplicity 4)
Th  0.000  0.250  0.875 (multiplicity 4)
Bi  0.000  0.250  0.129 (multiplicity 8)

Main lines, low angle first (10° ≤ 2θ ≤ 90°):
(2 0 0), 2θ = 27.76°, I 1000; (0 0 4), 2θ = 27.90°, I 491; (2 2 0), 2θ = 39.66°, I 395; (2 0 4), 2θ = 39.77°, I 780; (2 2 4), 2θ = 49.19°, I 429; (4 0 0), 2θ = 57.34°, I 137; (4 2 0), 2θ = 64.92°, I 381; (2 0 8), 2θ = 65.17°, I 185; (4 2 4), 2θ = 72.05°, I 283; (2 2 8), 2θ = 72.26°, I 138